This entry pairs a crystal structure of Ti2Mn3Cr3O16 with its simulated X-ray diffraction stick pattern. Radiation: Cu Ka. Structure: a GGA+U-relaxed structure.
Intensities are scaled so that the largest is 100.

Largest 12 diffraction maxima, sorted by position, 2θ from 5° to 70°:
2θ 19.7, d 4.506, rel. 79
2θ 20.2, d 4.406, rel. 100
2θ 26.5, d 3.363, rel. 31
2θ 34.7, d 2.582, rel. 27
2θ 36.7, d 2.448, rel. 42
2θ 36.9, d 2.437, rel. 19
2θ 37.0, d 2.430, rel. 32
2θ 41.0, d 2.201, rel. 31
2θ 47.0, d 1.934, rel. 40
2θ 47.0, d 1.932, rel. 18
2θ 63.4, d 1.468, rel. 28
2θ 63.8, d 1.460, rel. 25

Crystal structure
```
data_Ti2Mn3Cr3O16
_chemical_formula_sum 'Ti2 Mn3 Cr3 O16'
_cell_length_a 5.8387
_cell_length_b 5.8387
_cell_length_c 9.0122
_cell_angle_alpha 90.03
_cell_angle_beta 90.03
_cell_angle_gamma 59.79
_symmetry_space_group_name_H-M 'P 1'
_symmetry_Int_Tables_number 1
loop_
_symmetry_equiv_pos_as_xyz
'x,y,z'
loop_
_atom_site_label
_atom_site_type_symbol
_atom_site_fract_x
_atom_site_fract_y
_atom_site_fract_z
Ti1 Ti 0.0000 0.0000 0.0000
Ti2 Ti 0.6556 0.6556 0.4987
Mn1 Mn 0.1542 0.1542 0.7165
Mn2 Mn 0.4976 0.9904 0.2186
Mn3 Mn 0.9904 0.4976 0.2186
Cr1 Cr 0.1531 0.6579 0.7171
Cr2 Cr 0.4942 0.4942 0.2140
Cr3 Cr 0.6579 0.1531 0.7171
O1 O 0.1601 0.1601 0.1056
O2 O 0.1651 0.6633 0.1082
O3 O 0.2801 0.8470 0.8407
O4 O 0.3200 0.3200 0.8201
O5 O 0.3250 0.3250 0.3213
O6 O 0.3717 0.8062 0.3396
O7 O 0.4944 0.4944 0.6097
O8 O 0.4963 0.9893 0.6063
O9 O 0.6633 0.1651 0.1082
O10 O 0.6660 0.6660 0.1070
O11 O 0.8062 0.3717 0.3396
O12 O 0.8062 0.8062 0.3416
O13 O 0.8470 0.2801 0.8407
O14 O 0.8489 0.8489 0.8389
O15 O 0.9893 0.4963 0.6063
O16 O 0.9937 0.9937 0.6057
```